Diffraction record for LiNi2P5O16. The X-ray diffraction stick pattern is simulated, not measured: it uses a GGA+U-relaxed structure and CuKα.

The 10 most intense peaks (2θ = 5–70°), low angle first:
Position (°2θ), I (rel.)
9.6, 47.9
13.9, 100.0
16.2, 19.6
19.2, 69.3
22.4, 36.0
22.5, 79.6
29.0, 31.3
32.1, 46.8
32.6, 30.8
33.3, 24.6

Structural model:
```
LiNi2P5O16
1.0
5.0365 0.0000 0.0000
0.0000 6.8129 0.0000
-0.3083 0.0000 18.4634
Li Ni P O
2 4 10 32
Cartesian
0.0000 0.9823 0.0000
-0.1542 5.8306 9.2317
2.1206 2.1407 16.1597
2.2747 4.6721 6.9280
4.8491 2.1797 10.3691
5.0033 4.6332 1.1374
2.2573 0.2230 11.0111
2.4115 6.5899 1.7794
2.5441 2.5476 0.9129
2.3899 4.2653 10.1446
3.4556 1.7223 13.2594
3.6098 5.0906 4.0277
4.7249 2.5434 7.1420
4.5708 4.2695 16.3737
4.7367 0.2516 15.5114
4.8909 6.5613 6.2797
0.2568 1.9597 8.4315
0.1027 4.8532 17.6632
0.4182 3.2338 15.7148
0.5724 3.5791 6.4831
0.8010 0.3878 10.6167
0.9552 6.4250 1.3851
1.1773 0.4272 15.7933
1.3315 6.3857 6.5616
1.5878 3.1598 10.7993
1.7419 3.6531 1.5676
1.5206 1.9667 18.1408
1.6747 4.8462 8.9091
2.4422 0.7170 12.5173
2.5964 6.0959 3.2857
2.6236 1.3444 2.0194
2.4694 5.4685 11.2511
2.6601 2.5010 14.2592
2.8143 4.3118 5.0275
3.2733 3.0017 7.3219
3.1191 3.8112 16.5536
3.3050 0.7757 10.0798
3.4592 6.0371 0.8482
4.0276 2.8468 0.6554
3.8734 3.9661 9.8871
3.8175 0.8938 16.5331
3.9717 5.9191 7.3014
4.2779 2.4876 12.2649
4.4321 4.3253 3.0332
4.4316 0.6935 14.0129
4.5858 6.1194 4.7812
4.6161 1.3076 6.0882
4.4620 5.5053 15.3199
```

***

Diffraction record for Na2PrWO6. The X-ray diffraction stick pattern is simulated, not measured: it uses a GGA+U-relaxed structure and CuKα.

The 10 most intense peaks (2θ = 5–70°), low angle first:
Position (°2θ), I (rel.)
18.3, 5.6
21.1, 93.0
30.0, 100.0
33.7, 1.3
37.0, 13.8
43.0, 29.4
48.4, 40.1
53.3, 46.1
62.4, 16.7
66.7, 17.9

Structural model:
```
Na2PrWO6
1.0
8.4135 0.0000 0.0000
0.0000 8.4135 0.0000
0.0000 0.0000 8.4135
Na Pr W O
8 4 4 24
Cartesian
2.1034 2.1034 2.1034
2.1034 2.1034 6.3102
2.1034 6.3102 2.1034
2.1034 6.3102 6.3102
6.3102 2.1034 2.1034
6.3102 2.1034 6.3102
6.3102 6.3102 2.1034
6.3102 6.3102 6.3102
0.0000 0.0000 0.0000
0.0000 4.2068 4.2068
4.2068 0.0000 4.2068
4.2068 4.2068 0.0000
0.0000 0.0000 4.2068
0.0000 4.2068 0.0000
4.2068 0.0000 0.0000
4.2068 4.2068 4.2068
0.3242 4.5986 6.5269
0.3242 8.0217 6.0934
0.3919 1.8866 4.5310
0.3919 2.3201 8.0893
1.8866 4.5310 0.3919
1.8866 8.0893 3.8149
2.3201 4.5310 3.8149
2.3201 8.0893 0.3919
3.8149 1.8866 8.0893
3.8149 2.3201 4.5310
3.8825 4.5986 6.0934
3.8825 8.0217 6.5269
4.5310 0.3919 1.8866
4.5310 3.8149 2.3201
4.5986 6.0934 3.8825
4.5986 6.5269 0.3242
6.0934 0.3242 8.0217
6.0934 3.8825 4.5986
6.5269 0.3242 4.5986
6.5269 3.8825 8.0217
8.0217 6.0934 0.3242
8.0217 6.5269 3.8825
8.0893 0.3919 2.3201
8.0893 3.8149 1.8866
```

***

Diffraction record for TiNiO3. The X-ray diffraction stick pattern is simulated, not measured: it uses a GGA+U-relaxed structure and CuKα.

The 10 most intense peaks (2θ = 5–70°), low angle first:
Position (°2θ), I (rel.)
23.9, 38.0
32.7, 100.0
35.3, 77.7
40.5, 18.6
48.9, 25.6
49.0, 12.5
53.4, 61.5
61.8, 27.4
63.4, 11.6
63.5, 23.4

Structural model:
```
TiNiO3
1.0
5.0767 0.0000 0.0000
-2.5321 4.8818 0.0000
-0.0401 -1.8183 25.1821
Ti Ni O
12 12 36
Cartesian
0.0000 0.0000 0.0000
-0.0249 -0.9024 12.6357
-0.0036 0.2565 2.9943
0.0702 -0.6052 15.7344
-0.0388 1.6983 21.0089
0.0098 2.1064 14.8395
-0.0003 2.6305 8.3926
-0.0446 2.8973 11.3766
-0.0367 1.9912 23.9808
2.5359 1.3270 4.1981
2.4892 0.6289 19.7295
2.5332 1.5726 7.1959
-0.0434 -1.0322 21.8650
-0.0183 -0.1156 9.2914
0.0044 3.0167 2.1383
-0.0004 3.4593 5.0744
0.0248 2.4992 17.7689
2.5292 0.7709 10.5438
2.5060 -0.1342 23.1069
2.5287 0.3279 16.8711
2.5083 1.1999 13.4779
2.5405 2.1332 0.8722
2.5062 3.3480 19.0013
2.5394 4.3363 6.3372
-1.8105 3.9159 1.8062
-0.8498 2.0442 3.8574
-1.7343 2.9765 14.4030
-0.7501 1.1304 16.3335
-0.9953 2.0351 19.4403
-0.9784 2.9865 6.8578
0.9332 -1.0833 17.2070
0.9755 -0.0631 4.5954
0.8124 -0.0853 20.1970
0.8296 0.8748 7.6175
-0.7448 2.9357 22.2670
-0.7233 3.8436 9.6837
0.6841 0.7564 22.7937
0.7043 1.6678 10.2096
1.6545 -0.2001 12.2376
1.6519 -1.1026 24.8357
1.4434 0.7515 15.1345
1.5633 1.6700 2.6568
0.9078 2.5721 13.0549
0.9852 3.4923 0.3977
0.8373 3.4258 15.8412
0.8403 4.4421 3.4138
1.7718 1.6355 18.1474
1.8210 2.5366 5.4838
3.2574 0.3542 6.0048
3.2778 -0.6111 18.5746
1.6542 2.4112 20.6825
1.6851 3.3580 8.0568
4.0799 -0.5972 11.0705
4.0596 -1.4791 23.6425
3.4820 0.3313 21.3685
3.5069 1.2460 8.7933
3.3501 2.1934 11.8011
3.3385 1.2950 24.3950
4.3634 1.2144 1.2840
4.3278 0.3395 13.8089
```